Diffraction record for Rb2CdIn2. The powder XRD pattern is calculated, not measured: it uses a structure optimized by DFT (PBE) and λ = 1.5418 Å (Cu Kα).
No peak broadening, texture or thermal motion is included.

Atomic structure:
```
data_Rb2CdIn2
_symmetry_space_group_name_H-M 'C m c m'
_symmetry_Int_Tables_number 63
_symmetry_space_group_name_Hall '-C 2c 2'
_cell_length_a 11.4974
_cell_length_b 8.7346
_cell_length_c 9.0947
_cell_angle_alpha 90.00
_cell_angle_beta 90.00
_cell_angle_gamma 90.00
loop_
_atom_site_label
_atom_site_type_symbol
_atom_site_fract_x
_atom_site_fract_y
_atom_site_fract_z
_atom_site_occupancy
Rb1 Rb 0.1883 0.0000 0.0000 1
Cd1 Cd 0.0000 0.3326 0.2500 1
In1 In 0.0000 0.3502 0.5881 1
```

Main lines, most intense first (2θ from 5° to 70°):
2θ = 25.38°, I = 100, (3 1 0); 2θ = 32.21°, I = 95, (1 1 3); 2θ = 31.70°, I = 73, (1 3 0); 2θ = 12.73°, I = 65, (1 1 0); 2θ = 15.41°, I = 65, (2 0 0); 2θ = 39.43°, I = 51, (2 2 3); 2θ = 25.62°, I = 50, (2 2 0); 2θ = 39.27°, I = 41, (3 1 3); 2θ = 36.07°, I = 33, (0 2 3); 2θ = 31.12°, I = 29, (4 0 0)